Mn3O4F2: computed powder XRD pattern (Cu Kα, 1.54184 Å), based on DFT lattice parameters and positions (GGA+U).

Cell and atoms:
abc: 9.063 6.284 7.605
angles: 90.00 114.60 90.00
Space group C2/m (No. 12)
One atom of each set of equivalent atoms:
Mn: 0.000 0.000 0.000 (multiplicity 2)
Mn: 0.000 0.000 0.500 (multiplicity 2)
Mn: 0.163 0.500 0.172 (multiplicity 4)
Mn: 0.184 0.500 0.653 (multiplicity 4)
O: 0.000 0.302 0.000 (multiplicity 4)
O: 0.090 0.000 0.289 (multiplicity 4)
O: 0.173 0.194 0.656 (multiplicity 8)
F: 0.037 0.500 0.356 (multiplicity 4)
F: 0.218 0.000 0.032 (multiplicity 4)

Peak list (6 most intense, 2θ from 10° to 80°, sorted by position)
two_theta, d (Å), I_rel, h k l
25.84, 3.448, 100.0, 2 0 -2
28.41, 3.142, 88.8, 0 2 0
35.09, 2.557, 55.4, 1 1 2
35.67, 2.517, 39.5, 3 1 0
51.38, 1.778, 32.2, 1 1 -4
52.66, 1.738, 27.9, 5 1 -2